For Ce2S4O17, a structure optimized by DFT (GGA-PBE) gives the simulated powder diffraction line list in this record (Cu Kα, 1.54184 Å).
No peak broadening, texture or thermal motion is included.

The 10 most intense peaks (2θ from 10° to 90°), by angle:
| two_theta | d [Å] | I (rel.) |
| --- | --- | --- |
| 13.13 | 6.744 | 258 |
| 14.98 | 5.916 | 1000 |
| 17.74 | 5.001 | 322 |
| 18.60 | 4.772 | 725 |
| 25.32 | 3.518 | 357 |
| 26.43 | 3.372 | 253 |
| 26.95 | 3.308 | 386 |
| 30.20 | 2.959 | 474 |
| 31.83 | 2.811 | 259 |
| 33.93 | 2.642 | 192 |

```
Ce2S4O17
1.0
6.848 0.000 0.000
0.000 5.623 0.000
-1.590 0.000 9.019
Ce S O
2 4 17
Cartesian
0.000 0.000 0.000
1.753 2.811 4.945
-0.094 2.811 1.665
1.888 0.000 3.264
1.868 0.000 7.458
5.147 2.811 6.508
-0.350 2.811 5.895
0.293 2.811 3.102
1.056 2.811 0.753
0.758 0.000 4.214
1.468 0.000 1.843
0.516 0.000 8.069
2.016 1.215 6.613
2.016 4.407 6.613
2.725 1.222 3.515
2.725 4.401 3.515
2.887 0.000 8.517
4.128 2.811 5.448
5.118 0.000 4.036
5.909 1.595 1.408
5.909 4.028 1.408
4.999 1.598 7.355
4.999 4.025 7.355
```

For Nd3Dy3In2, a structure optimized by DFT (GGA-PBE) gives the simulated powder diffraction line list in this record (Cu Kα, 1.54184 Å).
No peak broadening, texture or thermal motion is included.

The 10 most intense peaks (2θ from 10° to 90°), by angle:
| two_theta | d [Å] | I (rel.) |
| --- | --- | --- |
| 31.51 | 2.839 | 1000 |
| 36.27 | 2.477 | 171 |
| 36.60 | 2.455 | 167 |
| 36.76 | 2.445 | 165 |
| 52.48 | 1.744 | 118 |
| 52.60 | 1.740 | 118 |
| 62.28 | 1.491 | 140 |
| 62.73 | 1.481 | 138 |
| 62.94 | 1.477 | 136 |
| 65.78 | 1.420 | 119 |

```
Nd3Dy3In2
1.0
4.890 0.000 0.000
0.000 4.910 0.000
0.000 0.000 9.908
Nd Dy In
3 3 2
Cartesian
0.000 0.000 0.000
0.000 0.000 4.954
2.445 2.455 0.000
2.445 0.000 2.497
2.445 0.000 7.412
2.445 2.455 4.954
0.000 2.455 2.514
0.000 2.455 7.395
```

For Sr2HfPd2O6, a structure optimized by DFT (GGA-PBE) gives the simulated powder diffraction line list in this record (Cu Kα, 1.54184 Å).
No peak broadening, texture or thermal motion is included.

The 10 most intense peaks (2θ from 10° to 90°), by angle:
| two_theta | d [Å] | I (rel.) |
| --- | --- | --- |
| 19.92 | 4.456 | 190 |
| 29.00 | 3.079 | 1000 |
| 32.29 | 2.772 | 722 |
| 43.95 | 2.060 | 336 |
| 51.41 | 1.778 | 199 |
| 53.52 | 1.712 | 403 |
| 59.56 | 1.552 | 118 |
| 60.11 | 1.539 | 172 |
| 69.90 | 1.346 | 157 |
| 75.17 | 1.264 | 114 |

```
Sr2HfPd2O6
1.0
3.079 1.778 5.409
-3.079 1.778 5.409
0.000 -3.555 5.409
Sr Hf Pd O
2 1 2 6
Cartesian
0.000 0.000 3.425
0.000 0.000 12.801
0.000 0.000 0.000
0.000 0.000 6.653
0.000 0.000 9.573
-1.733 -1.000 9.431
0.000 -2.001 6.794
-1.733 1.000 6.794
1.733 -1.000 9.431
0.000 2.001 9.431
1.733 1.000 6.794
```